This entry pairs a crystal structure of Cs2FeHF5 with its computed powder diffraction line list. Radiation: Cu Kα. Structure: a crystal structure in the Materials Project, relaxed with PBE+U.

The 6 most intense peaks (5° ≤ 2θ ≤ 70°), by angle:
16.6 deg, I = 61
19.2 deg, I = 38
26.5 deg, I = 86
27.3 deg, I = 98
28.1 deg, I = 100
33.7 deg, I = 89

Structure:
Cell: 6.567 6.567 9.224 Å, 90.00 90.00 83.43°
Fractional positions:
Cs  0.229  0.229  0.000
Cs  0.229  0.229  0.500
Cs  0.771  0.771  0.000
Cs  0.771  0.771  0.500
Fe  0.255  0.745  0.750
Fe  0.745  0.255  0.250
H  0.431  0.569  0.250
H  0.569  0.431  0.750
F  0.039  0.961  0.750
F  0.094  0.518  0.750
F  0.303  0.697  0.547
F  0.303  0.697  0.953
F  0.482  0.906  0.750
F  0.518  0.094  0.250
F  0.697  0.303  0.047
F  0.697  0.303  0.453
F  0.906  0.482  0.250
F  0.961  0.039  0.250